Entry 1:
LuGePd: computed X-ray diffraction stick pattern (Cu Ka), based on a structure optimized by DFT (GGA-PBE).

Largest 8 diffraction maxima, low angle first, 2θ from 5° to 70°:
23.5°, 3.793 Å, I = 12; 33.8°, 2.649 Å, I = 21; 35.2°, 2.550 Å, I = 100; 41.1°, 2.195 Å, I = 46; 41.3°, 2.185 Å, I = 24; 55.3°, 1.660 Å, I = 16; 67.4°, 1.389 Å, I = 12; 69.4°, 1.355 Å, I = 7

Crystal structure
```
LuGePd
1.0
-2.185 10.331 3.805
2.185 -10.331 3.805
2.185 10.331 -3.805
Lu Ge Pd
6 6 6
Direct
0.000 0.000 0.000
0.243 0.076 0.167
0.331 0.998 0.333
0.583 0.083 0.500
0.666 0.998 0.667
0.910 0.076 0.833
0.317 0.383 0.934
0.448 0.383 0.066
0.456 0.693 0.763
0.788 0.380 0.408
0.930 0.693 0.237
0.972 0.380 0.592
0.098 0.366 0.732
0.140 0.713 0.427
0.285 0.713 0.573
0.604 0.709 0.895
0.634 0.366 0.268
0.814 0.709 0.105
```

=====

Entry 2:
Na4Bi2B4SO16: computed X-ray diffraction stick pattern (Cu Ka), based on a structure optimized by DFT (GGA-PBE).

Largest 8 diffraction maxima, low angle first, 2θ from 5° to 70°:
10.6°, 8.328 Å, I = 100; 20.0°, 4.449 Å, I = 52; 20.6°, 4.317 Å, I = 36; 20.7°, 4.286 Å, I = 37; 21.3°, 4.164 Å, I = 77; 34.8°, 2.576 Å, I = 20; 35.0°, 2.563 Å, I = 21; 40.5°, 2.225 Å, I = 22

Crystal structure
```
Na4Bi2B4SO16
1.0
0.000 7.140 7.444
7.069 0.000 7.444
7.069 7.140 0.000
Na Bi B S O
8 4 8 2 32
Direct
0.079 0.671 0.079
0.080 0.670 0.670
0.329 0.921 0.329
0.330 0.920 0.920
0.670 0.080 0.080
0.671 0.079 0.671
0.920 0.330 0.330
0.921 0.329 0.921
0.000 0.500 0.500
0.500 0.000 0.500
0.500 0.500 0.000
0.500 0.500 0.500
0.274 0.650 0.289
0.286 0.289 0.650
0.289 0.286 0.274
0.350 0.726 0.714
0.650 0.274 0.286
0.711 0.714 0.726
0.714 0.711 0.350
0.726 0.350 0.711
0.125 0.125 0.125
0.875 0.875 0.875
0.058 0.305 0.069
0.068 0.069 0.305
0.069 0.068 0.058
0.137 0.643 0.418
0.140 0.307 0.657
0.140 0.411 0.291
0.291 0.657 0.140
0.302 0.418 0.643
0.305 0.058 0.068
0.307 0.140 0.396
0.343 0.604 0.860
0.343 0.709 0.589
0.357 0.863 0.698
0.396 0.657 0.307
0.411 0.140 0.657
0.418 0.302 0.137
0.582 0.698 0.863
0.589 0.860 0.343
0.604 0.343 0.693
0.643 0.137 0.302
0.657 0.291 0.411
0.657 0.396 0.140
0.693 0.860 0.604
0.695 0.942 0.932
0.698 0.582 0.357
0.709 0.343 0.860
0.860 0.589 0.709
0.860 0.693 0.343
0.863 0.357 0.582
0.931 0.932 0.942
0.932 0.931 0.695
0.942 0.695 0.931
```

=====

Entry 3:
TlCNO: computed X-ray diffraction stick pattern (Cu Ka), based on a structure optimized by DFT (GGA-PBE).

Largest 8 diffraction maxima, low angle first, 2θ from 5° to 70°:
19.8°, 4.482 Å, I = 89; 24.0°, 3.701 Å, I = 23; 28.2°, 3.169 Å, I = 56; 31.3°, 2.854 Å, I = 100; 37.4°, 2.407 Å, I = 47; 45.2°, 2.004 Å, I = 31; 47.4°, 1.917 Å, I = 23; 51.9°, 1.763 Å, I = 37

Crystal structure
```
TlCNO
1.0
-3.701 3.167 3.172
3.701 -3.167 3.172
3.701 3.167 -3.172
Tl C N O
2 2 2 2
Direct
0.000 0.000 0.000
0.000 0.500 0.500
0.506 0.258 0.748
0.511 0.758 0.252
0.509 0.394 0.615
0.779 0.894 0.385
0.237 0.622 0.115
0.507 0.122 0.885
```

=====

Entry 4:
YCu3HgSe4: computed X-ray diffraction stick pattern (Cu Ka), based on a structure optimized by DFT (GGA-PBE).

Largest 8 diffraction maxima, low angle first, 2θ from 5° to 70°:
20.8°, 4.281 Å, I = 46; 25.5°, 3.495 Å, I = 78; 36.4°, 2.471 Å, I = 23; 42.2°, 2.140 Å, I = 100; 50.0°, 1.825 Å, I = 37; 56.9°, 1.618 Å, I = 13; 61.2°, 1.513 Å, I = 16; 67.4°, 1.389 Å, I = 15

Crystal structure
```
YCu3HgSe4
1.0
6.054 0.000 0.000
0.000 6.054 0.000
0.000 0.000 6.054
Y Cu Hg Se
1 3 1 4
Direct
0.000 0.000 0.000
0.000 0.000 0.500
0.000 0.500 0.000
0.500 0.000 0.000
0.500 0.500 0.500
0.249 0.249 0.249
0.249 0.751 0.751
0.751 0.249 0.751
0.751 0.751 0.249
```

=====

Entry 5:
Th2Ta6O19: computed X-ray diffraction stick pattern (Cu Ka), based on a structure optimized by DFT (GGA-PBE).

Largest 8 diffraction maxima, low angle first, 2θ from 5° to 70°:
15.9°, 5.576 Å, I = 28; 26.5°, 3.366 Å, I = 69; 28.1°, 3.179 Å, I = 100; 29.1°, 3.067 Å, I = 59; 33.0°, 2.715 Å, I = 62; 35.7°, 2.518 Å, I = 47; 49.0°, 1.859 Å, I = 50; 56.6°, 1.627 Å, I = 48

Crystal structure
```
Th2Ta6O19
1.0
6.439 0.000 0.000
-3.219 5.576 0.000
0.000 0.000 20.198
Th Ta O
4 12 38
Direct
0.333 0.667 0.000
0.333 0.667 0.500
0.667 0.333 0.000
0.667 0.333 0.500
0.000 0.347 0.156
0.000 0.347 0.344
0.000 0.653 0.656
0.000 0.653 0.844
0.347 0.000 0.156
0.347 0.000 0.344
0.347 0.347 0.656
0.347 0.347 0.844
0.653 0.000 0.656
0.653 0.000 0.844
0.653 0.653 0.156
0.653 0.653 0.344
0.000 0.236 0.656
0.000 0.236 0.844
0.000 0.381 0.057
0.000 0.381 0.443
0.000 0.403 0.250
0.000 0.597 0.750
0.000 0.619 0.557
0.000 0.619 0.943
0.000 0.764 0.156
0.000 0.764 0.344
0.236 0.000 0.656
0.236 0.000 0.844
0.236 0.236 0.156
0.236 0.236 0.344
0.333 0.667 0.146
0.333 0.667 0.354
0.333 0.667 0.646
0.333 0.667 0.854
0.381 0.000 0.057
0.381 0.000 0.443
0.381 0.381 0.557
0.381 0.381 0.943
0.403 0.000 0.250
0.403 0.403 0.750
0.597 0.000 0.750
0.597 0.597 0.250
0.619 0.000 0.557
0.619 0.000 0.943
0.619 0.619 0.057
0.619 0.619 0.443
0.667 0.333 0.146
0.667 0.333 0.354
0.667 0.333 0.646
0.667 0.333 0.854
0.764 0.000 0.156
0.764 0.000 0.344
0.764 0.764 0.656
0.764 0.764 0.844
```

=====

Entry 6:
VZn2N2: computed X-ray diffraction stick pattern (Cu Ka), based on a structure optimized by DFT (GGA-PBE).

Largest 8 diffraction maxima, low angle first, 2θ from 5° to 70°:
32.9°, 2.724 Å, I = 36; 36.3°, 2.472 Å, I = 100; 37.1°, 2.420 Å, I = 87; 38.1°, 2.361 Å, I = 75; 39.7°, 2.270 Å, I = 84; 49.5°, 1.840 Å, I = 22; 56.2°, 1.636 Å, I = 44; 65.3°, 1.430 Å, I = 23

Crystal structure
```
VZn2N2
1.0
5.123 -2.270 0.000
5.123 2.270 0.000
-2.982 0.000 5.091
V Zn N
2 4 4
Direct
0.152 0.152 0.123
0.848 0.848 0.877
0.187 0.187 0.641
0.470 0.470 0.212
0.530 0.530 0.788
0.813 0.813 0.359
0.018 0.018 0.247
0.339 0.339 0.403
0.661 0.661 0.597
0.982 0.982 0.753
```